Theoretical powder diffraction line list of Y2RuRh for Cu Ka, from a GGA-PBE-relaxed structure.
Intensities are scaled so that the largest is 100.

Structure:
```
data_Y2RuRh
_chemical_formula_sum 'Y8 Ru4 Rh4'
_space_group_name_H-M_alt 'F m -3 m'
_space_group_IT_number 225
_space_group_name_Hall '-F 4 2 3'
_cell_length_a 6.8538
_cell_length_b 6.8538
_cell_length_c 6.8538
_cell_angle_alpha 90.00
_cell_angle_beta 90.00
_cell_angle_gamma 90.00
loop_
_atom_site_label
_atom_site_fract_x
_atom_site_fract_y
_atom_site_fract_z
Y1 0.2500 0.2500 0.2500
Ru1 0.0000 0.0000 0.0000
Rh1 0.0000 0.0000 0.5000
```

Principal peaks in the range 2θ = 5–70°, most intense first:
- 2θ 37.1, d = 2.423 Å, intensity 100, (2 2 0)
- 2θ 66.9, d = 1.399 Å, intensity 34, (4 2 2)
- 2θ 53.5, d = 1.713 Å, intensity 17, (4 0 0)
- 2θ 26.0, d = 3.427 Å, intensity 1, (2 0 0)

***

Theoretical powder diffraction line list of Sr6Li23 for Cu Ka, from a GGA-PBE-relaxed structure.
Intensities are scaled so that the largest is 100.

Structure:
```
data_Sr6Li23
_chemical_formula_sum 'Sr24 Li92'
_space_group_name_H-M_alt 'F m -3 m'
_space_group_IT_number 225
_space_group_name_Hall '-F 4 2 3'
_cell_length_a 14.7716
_cell_length_b 14.7716
_cell_length_c 14.7716
_cell_angle_alpha 90.00
_cell_angle_beta 90.00
_cell_angle_gamma 90.00
loop_
_atom_site_label
_atom_site_fract_x
_atom_site_fract_y
_atom_site_fract_z
Sr1 0.0000 0.0000 0.2061
Li1 0.0000 0.0000 0.5000
Li2 0.0000 0.2500 0.2500
Li3 0.1217 0.1217 0.3783
Li4 0.1776 0.1776 0.1776
```

Principal peaks in the range 2θ = 5–70°, most intense first:
- 2θ 20.8, d = 4.264 Å, intensity 100, (2 2 2)
- 2θ 31.5, d = 2.843 Å, intensity 85, (3 3 3)
- 2θ 24.1, d = 3.693 Å, intensity 51, (4 0 0)
- 2θ 26.3, d = 3.389 Å, intensity 43, (3 3 1)
- 2θ 12.0, d = 7.386 Å, intensity 42, (2 0 0)
- 2θ 10.4, d = 8.528 Å, intensity 41, (1 1 1)
- 2θ 34.3, d = 2.611 Å, intensity 41, (4 4 0)
- 2θ 29.6, d = 3.015 Å, intensity 37, (4 2 2)
- 2θ 43.8, d = 2.068 Å, intensity 36, (5 5 1)
- 2θ 65.3, d = 1.428 Å, intensity 31, (7 7 3)

***

Theoretical powder diffraction line list of KHgC3N3O3 for Cu Ka, from a GGA-PBE-relaxed structure.
Intensities are scaled so that the largest is 100.

Structure:
```
data_KHgC3N3O3
_chemical_formula_sum 'K4 Hg4 C12 N12 O12'
_space_group_name_H-M_alt 'P n m a'
_space_group_IT_number 62
_cell_length_a 10.5721
_cell_length_b 4.1031
_cell_length_c 17.9309
_cell_angle_alpha 90.00
_cell_angle_beta 90.00
_cell_angle_gamma 90.00
loop_
_space_group_symop_operation_xyz
'x,y,z'
'-x,-y,-z'
'-x+1/2,-y,z+1/2'
'x+1/2,y,-z+1/2'
'x+1/2,-y+1/2,-z+1/2'
'-x+1/2,y+1/2,z+1/2'
'-x,y+1/2,-z'
'x,-y+1/2,z'
loop_
_atom_site_label
_atom_site_fract_x
_atom_site_fract_y
_atom_site_fract_z
K1 0.0837 0.2500 0.1622
Hg1 0.1567 0.2500 0.5368
C1 0.1226 0.2500 0.9669
C2 0.1242 0.2500 0.3725
C3 0.1264 0.2500 0.7009
N1 0.0665 0.2500 0.4311
N2 0.2058 0.2500 0.0129
N3 0.2063 0.2500 0.6523
O1 0.0378 0.2500 0.9214
O2 0.0525 0.2500 0.7516
O3 0.1740 0.2500 0.3124
```

Principal peaks in the range 2θ = 5–70°, most intense first:
- 2θ 9.9, d = 8.965 Å, intensity 100, (0 0 2)
- 2θ 27.5, d = 3.241 Å, intensity 81, (2 1 0)
- 2θ 9.7, d = 9.107 Å, intensity 60, (1 0 1)
- 2θ 23.8, d = 3.741 Å, intensity 54, (1 1 1)
- 2θ 25.8, d = 3.458 Å, intensity 38, (3 0 1)
- 2θ 30.1, d = 2.968 Å, intensity 32, (2 0 5)
- 2θ 12.9, d = 6.838 Å, intensity 31, (1 0 2)
- 2θ 33.2, d = 2.700 Å, intensity 29, (0 1 5)
- 2θ 29.3, d = 3.048 Å, intensity 29, (2 1 2)
- 2θ 45.5, d = 1.992 Å, intensity 20, (3 1 6)

***

Theoretical powder diffraction line list of YZnCu3Se4 for Cu Ka, from a GGA-PBE-relaxed structure.
Intensities are scaled so that the largest is 100.

Structure:
```
data_YZnCu3Se4
_chemical_formula_sum 'Y3 Zn3 Cu9 Se12'
_space_group_name_H-M_alt 'R 3 m'
_space_group_IT_number 160
_space_group_name_Hall 'R 3 -2"'
_cell_length_a 8.3297
_cell_length_b 8.3297
_cell_length_c 10.1885
_cell_angle_alpha 90.00
_cell_angle_beta 90.00
_cell_angle_gamma 120.00
loop_
_atom_site_label
_atom_site_fract_x
_atom_site_fract_y
_atom_site_fract_z
Y1 0.0000 0.0000 0.0000
Zn1 0.0000 0.0000 0.5001
Cu1 0.0001 0.5000 0.5003
Se1 0.0000 0.0000 0.7412
Se2 0.1729 0.3457 0.0867
```

Principal peaks in the range 2θ = 5–70°, most intense first:
- 2θ 43.5, d = 2.082 Å, intensity 100, (2 2 0)
- 2θ 26.2, d = 3.399 Å, intensity 78, (0 2 1)
- 2θ 51.5, d = 1.775 Å, intensity 34, (4 0 1)
- 2θ 63.2, d = 1.472 Å, intensity 16, (4 0 4)
- 2θ 69.6, d = 1.351 Å, intensity 13, (2 4 1)
- 2θ 21.3, d = 4.163 Å, intensity 13, (1 1 0)
- 2θ 34.1, d = 2.633 Å, intensity 10, (2 1 1)
- 2θ 15.0, d = 5.887 Å, intensity 8, (1 0 1)
- 2θ 37.4, d = 2.404 Å, intensity 6, (1 0 4)
- 2θ 58.7, d = 1.573 Å, intensity 4, (2 3 2)

***

Theoretical powder diffraction line list of Na2GaCuF7 for Cu Ka, from a GGA-PBE-relaxed structure.
Intensities are scaled so that the largest is 100.

Structure:
```
data_Na2GaCuF7
_chemical_formula_sum 'Na16 Ga8 Cu8 F56'
_space_group_name_H-M_alt 'C 1 2/c 1'
_space_group_IT_number 15
_cell_length_a 12.5668
_cell_length_b 7.4226
_cell_length_c 13.0035
_cell_angle_alpha 90.00
_cell_angle_beta 109.82
_cell_angle_gamma 90.00
loop_
_space_group_symop_operation_xyz
'x,y,z'
'-x,-y,-z'
'-x,y,-z+1/2'
'x,-y,z+1/2'
'x+1/2,y+1/2,z'
'-x+1/2,-y+1/2,-z'
'-x+1/2,y+1/2,-z+1/2'
'x+1/2,-y+1/2,z+1/2'
loop_
_atom_site_label
_atom_site_fract_x
_atom_site_fract_y
_atom_site_fract_z
Na1 0.0000 0.0000 0.0000
Na2 0.0000 0.2307 0.2500
Na3 0.2474 0.4667 0.2525
Ga1 0.0000 0.2446 0.7500
Ga2 0.2500 0.2500 0.5000
Cu1 0.0000 0.5000 0.0000
Cu2 0.2500 0.2500 0.0000
F1 0.0461 0.0544 0.6741
F2 0.0481 0.4335 0.6752
F3 0.0906 0.3098 0.4652
F4 0.1252 0.3262 0.0507
F5 0.1578 0.2430 0.8454
F6 0.2044 0.0194 0.5318
F7 0.2095 0.2026 0.3436
```

Principal peaks in the range 2θ = 5–70°, most intense first:
- 2θ 29.5, d = 3.026 Å, intensity 100, (2 2 -2)
- 2θ 29.2, d = 3.058 Å, intensity 49, (0 0 4)
- 2θ 30.2, d = 2.956 Å, intensity 43, (4 0 0)
- 2θ 17.0, d = 5.225 Å, intensity 42, (2 0 -2)
- 2θ 50.0, d = 1.824 Å, intensity 40, (6 2 -2)
- 2θ 48.7, d = 1.871 Å, intensity 35, (2 2 -6)
- 2θ 34.3, d = 2.612 Å, intensity 31, (2 2 2)
- 2θ 58.2, d = 1.586 Å, intensity 30, (2 2 6)
- 2θ 14.5, d = 6.117 Å, intensity 28, (0 0 2)
- 2θ 49.6, d = 1.837 Å, intensity 22, (4 0 4)

***

Theoretical powder diffraction line list of MgO2 for Cu Ka, from a GGA-PBE-relaxed structure.
Intensities are scaled so that the largest is 100.

Structure:
```
data_MgO2
_chemical_formula_sum 'Mg2 O4'
_space_group_name_H-M_alt 'C 1 2/m 1'
_space_group_IT_number 12
_cell_length_a 5.5226
_cell_length_b 3.4221
_cell_length_c 3.5857
_cell_angle_alpha 90.00
_cell_angle_beta 94.97
_cell_angle_gamma 90.00
loop_
_space_group_symop_operation_xyz
'x,y,z'
'-x,-y,-z'
'-x,y,-z'
'x,-y,z'
'x+1/2,y+1/2,z'
'-x+1/2,-y+1/2,-z'
'-x+1/2,y+1/2,-z'
'x+1/2,-y+1/2,z'
loop_
_atom_site_label
_atom_site_fract_x
_atom_site_fract_y
_atom_site_fract_z
Mg1 0.0000 0.0000 0.0000
O1 0.1287 0.5000 0.7590
```

Principal peaks in the range 2θ = 5–70°, most intense first:
- 2θ 39.1, d = 2.306 Å, intensity 100, (1 1 -1)
- 2θ 24.9, d = 3.572 Å, intensity 57, (0 0 1)
- 2θ 43.2, d = 2.094 Å, intensity 52, (2 0 1)
- 2θ 57.0, d = 1.616 Å, intensity 30, (3 1 0)
- 2θ 59.5, d = 1.554 Å, intensity 26, (1 1 -2)
- 2θ 53.6, d = 1.711 Å, intensity 25, (0 2 0)
- 2θ 61.1, d = 1.517 Å, intensity 22, (3 1 -1)
- 2θ 32.5, d = 2.751 Å, intensity 21, (2 0 0)
- 2θ 62.2, d = 1.491 Å, intensity 18, (1 1 2)
- 2θ 59.9, d = 1.543 Å, intensity 9, (0 2 1)

***

Theoretical powder diffraction line list of Nb32N27 for Cu Ka, from a GGA-PBE-relaxed structure.
Intensities are scaled so that the largest is 100.

Structure:
```
data_Nb32N27
_chemical_formula_sum 'Nb96 N81'
_space_group_name_H-M_alt 'R -3 m'
_space_group_IT_number 166
_space_group_name_Hall '-R 3 2"'
_cell_length_a 3.1270
_cell_length_b 3.1270
_cell_length_c 246.8375
_cell_angle_alpha 90.00
_cell_angle_beta 90.00
_cell_angle_gamma 120.00
loop_
_atom_site_label
_atom_site_fract_x
_atom_site_fract_y
_atom_site_fract_z
Nb1 0.0000 0.0000 0.0156
Nb2 0.0000 0.0000 0.0469
Nb3 0.0000 0.0000 0.0781
Nb4 0.0000 0.0000 0.1094
Nb5 0.0000 0.0000 0.1406
Nb6 0.0000 0.0000 0.1719
Nb7 0.0000 0.0000 0.2032
Nb8 0.0000 0.0000 0.2345
Nb9 0.0000 0.0000 0.2655
Nb10 0.0000 0.0000 0.2970
Nb11 0.0000 0.0000 0.3281
Nb12 0.0000 0.0000 0.3593
Nb13 0.0000 0.0000 0.3906
Nb14 0.0000 0.0000 0.4218
Nb15 0.0000 0.0000 0.4531
Nb16 0.0000 0.0000 0.4844
N1 0.0000 0.0000 0.0627
N2 0.0000 0.0000 0.0936
N3 0.0000 0.0000 0.1250
N4 0.0000 0.0000 0.1562
N5 0.0000 0.0000 0.1875
N6 0.0000 0.0000 0.2187
N7 0.0000 0.0000 0.2502
N8 0.0000 0.0000 0.2813
N9 0.0000 0.0000 0.3124
N10 0.0000 0.0000 0.3436
N11 0.0000 0.0000 0.3748
N12 0.0000 0.0000 0.4375
N13 0.0000 0.0000 0.4687
N14 0.0000 0.0000 0.5000
```

Principal peaks in the range 2θ = 5–70°, most intense first:
- 2θ 40.7, d = 2.216 Å, intensity 100, (1 0 64)
- 2θ 35.1, d = 2.555 Å, intensity 95, (0 1 32)
- 2θ 34.9, d = 2.571 Å, intensity 32, (0 0 96)
- 2θ 58.8, d = 1.571 Å, intensity 32, (0 1 128)
- 2θ 59.1, d = 1.563 Å, intensity 31, (1 1 0)